Diffraction record for TlNiPbCl6. The PXRD pattern is calculated, not measured: it uses a structure optimized by DFT (GGA-PBE) and CuKα.

Main lines, low angle first (2θ = 5–70°):
19.7°, I 89.4; 20.0°, I 100.0; 20.1°, I 84.3; 25.5°, I 54.1; 32.3°, I 31.0; 32.7°, I 48.1; 37.4°, I 33.2; 37.9°, I 67.5; 42.0°, I 32.6; 44.8°, I 31.5

a = 6.974 Å, b = 6.974 Å, c = 6.570 Å
α = 90.64°, β = 90.64°, γ = 119.47°
Positions (direct):
Tl  0.000  0.000  0.000
Ni  0.658  0.342  0.500
Pb  0.317  0.683  0.500
Cl  0.378  0.054  0.728
Cl  0.394  0.339  0.298
Cl  0.654  0.074  0.299
Cl  0.661  0.606  0.702
Cl  0.926  0.346  0.701
Cl  0.946  0.622  0.272